Theoretical X-ray diffraction stick pattern
Compound: Tb6PrSm2Y
Radiation: Cu Kα, 1.54184 Å
Structure: a crystal structure in Alexandria, relaxed with PBE
No peak broadening, texture or thermal motion is included.

Peak list (10 most intense, 10 to 90 degrees two-theta, in order of rising 2θ)
- 28.43 deg, rel. 49
- 30.16 deg, rel. 64
- 30.52 deg, rel. 100
- 31.07 deg, rel. 70
- 31.34 deg, rel. 52
- 31.54 deg, rel. 96
- 32.01 deg, rel. 29
- 33.20 deg, rel. 87
- 33.82 deg, rel. 22
- 50.20 deg, rel. 23

Atomic structure:
Unit cell a=8.848 b=8.848 c=9.771 alpha=94.52 beta=94.52 gamma=118.37
Fractional positions:
Tb 0.029 0.577 0.184
Tb 0.124 0.747 0.556
Tb 0.253 0.876 0.944
Tb 0.291 0.499 0.379
Tb 0.423 0.971 0.316
Tb 0.499 0.291 0.879
Tb 0.501 0.709 0.121
Tb 0.577 0.029 0.684
Tb 0.709 0.501 0.621
Tb 0.747 0.124 0.056
Tb 0.876 0.253 0.444
Tb 0.971 0.423 0.816
Pr 0.405 0.595 0.750
Pr 0.595 0.405 0.250
Sm 0.189 0.296 0.042
Sm 0.296 0.189 0.542
Sm 0.704 0.811 0.458
Sm 0.811 0.704 0.958
Y 0.020 0.980 0.250
Y 0.980 0.020 0.750

***

Theoretical X-ray diffraction stick pattern
Compound: Tb3PrSmY
Radiation: Cu Kα, 1.54184 Å
Structure: a crystal structure in Alexandria, relaxed with PBE
No peak broadening, texture or thermal motion is included.

Peak list (10 most intense, 10 to 90 degrees two-theta, in order of rising 2θ)
- 25.28 deg, rel. 19
- 26.85 deg, rel. 12
- 30.14 deg, rel. 100
- 31.08 deg, rel. 20
- 31.30 deg, rel. 51
- 32.77 deg, rel. 62
- 35.22 deg, rel. 24
- 54.99 deg, rel. 18
- 56.65 deg, rel. 13
- 61.87 deg, rel. 11

Atomic structure:
Unit cell a=10.364 b=10.364 c=7.046 alpha=90.13 beta=90.13 gamma=32.01
Fractional positions:
Tb 0.021 0.021 0.240
Tb 0.280 0.280 0.258
Tb 0.336 0.336 0.768
Tb 0.664 0.664 0.232
Tb 0.720 0.720 0.742
Tb 0.979 0.979 0.760
Pr 0.145 0.145 0.524
Pr 0.855 0.855 0.476
Sm 0.446 0.446 0.238
Sm 0.554 0.554 0.762
Y 0.150 0.150 0.958
Y 0.850 0.850 0.042

***

Theoretical X-ray diffraction stick pattern
Compound: TbPr2SmY6
Radiation: Cu Kα, 1.54184 Å
Structure: a crystal structure in Alexandria, relaxed with PBE
No peak broadening, texture or thermal motion is included.

Peak list (10 most intense, 10 to 90 degrees two-theta, in order of rising 2θ)
- 11.73 deg, rel. 21
- 27.25 deg, rel. 28
- 28.53 deg, rel. 44
- 29.99 deg, rel. 53
- 30.23 deg, rel. 55
- 31.28 deg, rel. 100
- 31.68 deg, rel. 79
- 32.12 deg, rel. 25
- 32.91 deg, rel. 54
- 33.31 deg, rel. 18

Atomic structure:
Unit cell a=8.818 b=8.818 c=9.880 alpha=95.19 beta=95.19 gamma=117.65
Fractional positions:
Tb 0.094 0.906 0.750
Tb 0.906 0.094 0.250
Pr 0.210 0.308 0.956
Pr 0.308 0.210 0.456
Pr 0.692 0.790 0.544
Pr 0.790 0.692 0.044
Sm 0.483 0.517 0.250
Sm 0.517 0.483 0.750
Y 0.007 0.798 0.382
Y 0.075 0.520 0.186
Y 0.202 0.993 0.118
Y 0.241 0.621 0.557
Y 0.379 0.759 0.943
Y 0.480 0.925 0.314
Y 0.520 0.075 0.686
Y 0.621 0.241 0.057
Y 0.759 0.379 0.443
Y 0.798 0.007 0.882
Y 0.925 0.480 0.814
Y 0.993 0.202 0.618

***

Theoretical X-ray diffraction stick pattern
Compound: Tb6PrSmY2
Radiation: Cu Kα, 1.54184 Å
Structure: a crystal structure in Alexandria, relaxed with PBE
No peak broadening, texture or thermal motion is included.

Peak list (10 most intense, 10 to 90 degrees two-theta, in order of rising 2θ)
- 28.35 deg, rel. 41
- 30.05 deg, rel. 58
- 30.58 deg, rel. 18
- 30.78 deg, rel. 100
- 31.23 deg, rel. 37
- 31.45 deg, rel. 38
- 32.38 deg, rel. 21
- 34.18 deg, rel. 32
- 34.87 deg, rel. 22
- 60.13 deg, rel. 17

Atomic structure:
Unit cell a=8.857 b=8.857 c=9.487 alpha=93.10 beta=93.10 gamma=116.41
Fractional positions:
Tb 0.015 0.561 0.181
Tb 0.112 0.759 0.558
Tb 0.241 0.888 0.942
Tb 0.294 0.522 0.385
Tb 0.439 0.985 0.319
Tb 0.478 0.706 0.115
Tb 0.522 0.294 0.885
Tb 0.561 0.015 0.681
Tb 0.706 0.478 0.615
Tb 0.759 0.112 0.058
Tb 0.888 0.241 0.442
Tb 0.985 0.439 0.819
Pr 0.408 0.592 0.750
Pr 0.592 0.408 0.250
Sm 0.036 0.964 0.250
Sm 0.964 0.036 0.750
Y 0.199 0.297 0.051
Y 0.297 0.199 0.551
Y 0.703 0.801 0.449
Y 0.801 0.703 0.949

***

Theoretical X-ray diffraction stick pattern
Compound: Pr3SmTe3
Radiation: Cu Kα, 1.54184 Å
Structure: a crystal structure in Alexandria, relaxed with PBE
No peak broadening, texture or thermal motion is included.

Peak list (10 most intense, 10 to 90 degrees two-theta, in order of rising 2θ)
- 19.10 deg, rel. 23
- 28.84 deg, rel. 45
- 29.76 deg, rel. 33
- 30.93 deg, rel. 100
- 33.39 deg, rel. 63
- 34.82 deg, rel. 74
- 35.27 deg, rel. 56
- 41.56 deg, rel. 23
- 49.37 deg, rel. 29
- 61.76 deg, rel. 22

Atomic structure:
Unit cell a=8.193 b=8.193 c=8.193 alpha=69.11 beta=69.11 gamma=69.11
Fractional positions:
Pr 0.156 0.665 0.418
Pr 0.335 0.582 0.844
Pr 0.418 0.156 0.665
Pr 0.582 0.844 0.335
Pr 0.665 0.418 0.156
Pr 0.844 0.335 0.582
Sm 0.182 0.182 0.182
Sm 0.818 0.818 0.818
Te 0.037 0.407 0.818
Te 0.182 0.963 0.593
Te 0.407 0.818 0.037
Te 0.593 0.182 0.963
Te 0.818 0.037 0.407
Te 0.963 0.593 0.182

***

Theoretical X-ray diffraction stick pattern
Compound: PrSm4Te5
Radiation: Cu Kα, 1.54184 Å
Structure: a crystal structure in Alexandria, relaxed with PBE
No peak broadening, texture or thermal motion is included.

Peak list (10 most intense, 10 to 90 degrees two-theta, in order of rising 2θ)
- 28.29 deg, rel. 100
- 40.41 deg, rel. 51
- 40.48 deg, rel. 25
- 49.98 deg, rel. 7
- 50.11 deg, rel. 20
- 58.51 deg, rel. 13
- 66.19 deg, rel. 17
- 66.30 deg, rel. 17
- 73.50 deg, rel. 6
- 73.60 deg, rel. 15

Atomic structure:
Unit cell a=7.728 b=7.728 c=10.949 alpha=118.26 beta=118.26 gamma=33.53
Fractional positions:
Pr 0.000 0.000 0.000
Sm 0.202 0.202 0.799
Sm 0.401 0.401 0.603
Sm 0.599 0.599 0.397
Sm 0.798 0.798 0.201
Te 0.000 0.000 0.500
Te 0.202 0.202 0.305
Te 0.397 0.397 0.102
Te 0.603 0.603 0.898
Te 0.798 0.798 0.695